1.
Starting from DFT lattice parameters and positions (GGA+U), the powder diffraction line list of K2CrO4 was calculated for Cu Kα.
Peak positions follow from Bragg's law for the DFT cell and can differ from measured ones.

Structure:
Cell: 7.7711 6.0480 10.5932 Å, 90.00 90.00 90.00°
Fractional positions:
1 K 0.0044 0.2500 0.2003
2 K 0.1669 0.7500 0.4219
3 K 0.3331 0.2500 0.9219
4 K 0.4956 0.7500 0.7003
5 K 0.5044 0.2500 0.2997
6 K 0.6669 0.7500 0.0781
7 K 0.8331 0.2500 0.5781
8 K 0.9956 0.7500 0.7997
9 Cr 0.2258 0.7500 0.0804
10 Cr 0.2742 0.2500 0.5804
11 Cr 0.7258 0.7500 0.4196
12 Cr 0.7742 0.2500 0.9196
13 O 0.0125 0.7500 0.0736
14 O 0.1914 0.2500 0.4345
15 O 0.2058 0.0246 0.6561
16 O 0.2058 0.4754 0.6561
17 O 0.2942 0.5246 0.1561
18 O 0.2942 0.9754 0.1561
19 O 0.3086 0.7500 0.9345
20 O 0.4875 0.2500 0.5736
21 O 0.5125 0.7500 0.4264
22 O 0.6914 0.2500 0.0655
23 O 0.7058 0.0246 0.8439
24 O 0.7058 0.4754 0.8439
25 O 0.7942 0.5246 0.3439
26 O 0.7942 0.9754 0.3439
27 O 0.8086 0.7500 0.5655
28 O 0.9875 0.2500 0.9264

Main lines, sorted by position (5° ≤ 2θ ≤ 70°):
2θ = 20.29°, I 24
2θ = 20.41°, I 41
2θ = 22.89°, I 21
2θ = 28.55°, I 87
2θ = 29.29°, I 100
2θ = 29.54°, I 63
2θ = 34.32°, I 16
2θ = 35.68°, I 19
2θ = 38.71°, I 35
2θ = 41.50°, I 32
2θ = 45.90°, I 15
2θ = 52.25°, I 16

=====

2.
Starting from DFT lattice parameters and positions (GGA+U), the powder diffraction line list of CaCr2O6 was calculated for Cu Kα.
Peak positions follow from Bragg's law for the DFT cell and can differ from measured ones.

Structure:
Cell: 5.3330 5.3874 7.3719 Å, 90.24 90.11 90.45°
Fractional positions:
1 Ca 0.0000 0.0000 0.0000
2 Ca 0.4950 0.4063 0.5218
3 Cr 0.4671 0.9365 0.2709
4 Cr 0.4837 0.9456 0.7609
5 Cr 0.9582 0.4713 0.2532
6 Cr 0.9901 0.4685 0.7599
7 O 0.0745 0.4500 0.0316
8 O 0.2389 0.1679 0.7359
9 O 0.2495 0.1653 0.2909
10 O 0.3031 0.6649 0.7309
11 O 0.3117 0.6633 0.2967
12 O 0.4623 0.9423 0.0128
13 O 0.5709 0.9620 0.5115
14 O 0.7420 0.2359 0.7898
15 O 0.7417 0.2435 0.2323
16 O 0.8030 0.7399 0.2282
17 O 0.8036 0.7392 0.7942
18 O 0.9603 0.4659 0.4952

Main lines, sorted by position (5° ≤ 2θ ≤ 70°):
2θ = 20.42°, I 30
2θ = 20.56°, I 42
2θ = 23.38°, I 65
2θ = 23.57°, I 65
2θ = 24.15°, I 61
2θ = 33.26°, I 36
2θ = 33.61°, I 38
2θ = 33.88°, I 100
2θ = 34.07°, I 36
2θ = 47.81°, I 39
2θ = 48.21°, I 38
2θ = 49.46°, I 41

=====

3.
Starting from DFT lattice parameters and positions (GGA+U), the powder diffraction line list of CuWO4 was calculated for Cu Kα.
Peak positions follow from Bragg's law for the DFT cell and can differ from measured ones.

Structure:
Cell: 4.7128 5.5790 5.1659 Å, 90.00 93.62 90.00°
Fractional positions:
1 Cu 0.0000 0.1638 0.2500
2 Cu 0.0000 0.8362 0.7500
3 W 0.5000 0.3176 0.7500
4 W 0.5000 0.6824 0.2500
5 O 0.2461 0.1083 0.8793
6 O 0.2461 0.8917 0.3793
7 O 0.2788 0.3939 0.4233
8 O 0.2788 0.6061 0.9233
9 O 0.7212 0.3939 0.0767
10 O 0.7212 0.6061 0.5767
11 O 0.7539 0.1083 0.6207
12 O 0.7539 0.8917 0.1207

Main lines, sorted by position (5° ≤ 2θ ≤ 70°):
2θ = 18.87°, I 40
2θ = 23.50°, I 42
2θ = 24.76°, I 42
2θ = 29.59°, I 100
2θ = 31.00°, I 84
2θ = 34.80°, I 34
2θ = 36.63°, I 29
2θ = 38.27°, I 17
2θ = 40.97°, I 24
2θ = 52.95°, I 26
2θ = 53.13°, I 21
2θ = 54.88°, I 17

=====

4.
Starting from DFT lattice parameters and positions (GGA+U), the powder diffraction line list of Tb5Mo2O12 was calculated for Cu Kα.
Peak positions follow from Bragg's law for the DFT cell and can differ from measured ones.

Structure:
Cell: 6.9060 6.9060 7.3643 Å, 105.57 105.57 51.82°
Fractional positions:
1 Tb 0.0000 0.0000 0.0000
2 Tb 0.3013 0.3013 0.1375
3 Tb 0.3079 0.3079 0.6733
4 Tb 0.6921 0.6921 0.3267
5 Tb 0.6987 0.6987 0.8625
6 Mo 0.2463 0.7537 0.5000
7 Mo 0.7537 0.2463 0.5000
8 O 0.0025 0.0025 0.6876
9 O 0.0956 0.5969 0.9257
10 O 0.1011 0.5674 0.4156
11 O 0.4031 0.9044 0.0743
12 O 0.4326 0.8989 0.5844
13 O 0.5003 0.5003 0.3057
14 O 0.4997 0.4997 0.6943
15 O 0.5674 0.1011 0.4156
16 O 0.5969 0.0956 0.9257
17 O 0.8989 0.4326 0.5844
18 O 0.9044 0.4031 0.0743
19 O 0.9975 0.9975 0.3124

Main lines, sorted by position (5° ≤ 2θ ≤ 70°):
2θ = 26.96°, I 95
2θ = 28.39°, I 100
2θ = 29.60°, I 20
2θ = 30.15°, I 15
2θ = 32.25°, I 41
2θ = 33.27°, I 72
2θ = 41.89°, I 16
2θ = 45.11°, I 30
2θ = 49.51°, I 20
2θ = 51.78°, I 19
2θ = 55.22°, I 27
2θ = 57.28°, I 20

=====

5.
Starting from DFT lattice parameters and positions (GGA+U), the powder diffraction line list of Li3FeP2O8 was calculated for Cu Kα.
Peak positions follow from Bragg's law for the DFT cell and can differ from measured ones.

Structure:
Cell: 8.2238 10.4935 8.2673 Å, 90.00 104.06 90.00°
Fractional positions:
1 Li 0.0000 0.0758 0.0000
2 Li 0.0000 0.9242 0.5000
3 Li 0.0605 0.1651 0.3160
4 Li 0.0605 0.8349 0.8160
5 Li 0.1387 0.3090 0.8742
6 Li 0.1387 0.6910 0.3742
7 Li 0.2054 0.4138 0.1922
8 Li 0.2054 0.5862 0.6922
9 Li 0.4507 0.3968 0.9415
10 Li 0.4507 0.6032 0.4415
11 Li 0.9550 0.4082 0.4352
12 Li 0.9550 0.5918 0.9352
13 Fe 0.5043 0.0834 0.5028
14 Fe 0.5043 0.9166 0.0028
15 Fe 0.6974 0.4070 0.6845
16 Fe 0.6974 0.5930 0.1845
17 P 0.3172 0.3410 0.5684
18 P 0.3172 0.6590 0.0684
19 P 0.3625 0.1613 0.1383
20 P 0.3625 0.8387 0.6383
21 P 0.8402 0.3447 0.0576
22 P 0.8402 0.6553 0.5576
23 P 0.8903 0.1630 0.6281
24 P 0.8903 0.8370 0.1281
25 O 0.0144 0.1594 0.7979
26 O 0.0144 0.8406 0.2979
27 O 0.1744 0.3537 0.4091
28 O 0.1744 0.6463 0.9091
29 O 0.2050 0.1076 0.1790
30 O 0.2050 0.8924 0.6790
31 O 0.2682 0.3975 0.7229
32 O 0.2682 0.6025 0.2229
33 O 0.3367 0.3013 0.0756
34 O 0.3367 0.6987 0.5756
35 O 0.3750 0.2014 0.5993
36 O 0.3750 0.7986 0.0993
37 O 0.4172 0.0819 0.9998
38 O 0.4172 0.9181 0.4998
39 O 0.4744 0.4226 0.5434
40 O 0.4744 0.5774 0.0434
41 O 0.5127 0.1566 0.2971
42 O 0.5127 0.8434 0.7971
43 O 0.6793 0.3616 0.9046
44 O 0.6793 0.6384 0.4046
45 O 0.7224 0.1003 0.6427
46 O 0.7224 0.8997 0.1427
47 O 0.7931 0.4255 0.2029
48 O 0.7931 0.5745 0.7029
49 O 0.8432 0.3120 0.5861
50 O 0.8432 0.6880 0.0861
51 O 0.8755 0.2093 0.1129
52 O 0.8755 0.7907 0.6129
53 O 0.9557 0.1083 0.4864
54 O 0.9557 0.8917 0.9864
55 O 0.9877 0.4124 0.0063
56 O 0.9877 0.5876 0.5063

Main lines, sorted by position (5° ≤ 2θ ≤ 70°):
2θ = 13.92°, I 56
2θ = 16.04°, I 47
2θ = 20.24°, I 39
2θ = 21.77°, I 99
2θ = 22.18°, I 100
2θ = 22.29°, I 30
2θ = 23.87°, I 65
2θ = 28.99°, I 25
2θ = 32.40°, I 61
2θ = 34.18°, I 42
2θ = 35.39°, I 58
2θ = 60.08°, I 26

=====

6.
Starting from DFT lattice parameters and positions (GGA+U), the powder diffraction line list of Li5Fe7O3F13 was calculated for Cu Kα.
Peak positions follow from Bragg's law for the DFT cell and can differ from measured ones.

Structure:
Cell: 6.2039 6.2158 10.7033 Å, 90.08 106.54 119.93°
Fractional positions:
1 Li 0.0000 0.0000 0.0000
2 Li 0.0206 0.5130 0.4987
3 Li 0.3709 0.9437 0.8122
4 Li 0.7831 0.3847 0.1298
5 Li 0.8949 0.9496 0.3086
6 Fe 0.3721 0.9253 0.3030
7 Fe 0.3750 0.6923 0.0663
8 Fe 0.3817 0.4503 0.3057
9 Fe 0.3849 0.1943 0.5688
10 Fe 0.3869 0.4340 0.8059
11 Fe 0.8096 0.8742 0.6402
12 Fe 0.8746 0.4451 0.8099
13 O 0.1719 0.5912 0.1901
14 O 0.1862 0.0930 0.6952
15 O 0.6405 0.5474 0.6928
16 F 0.1228 0.3268 0.9282
17 F 0.1385 0.8132 0.9343
18 F 0.1422 0.5733 0.6956
19 F 0.1436 0.0771 0.1947
20 F 0.1437 0.8394 0.4330
21 F 0.1472 0.3128 0.4264
22 F 0.5929 0.7839 0.9375
23 F 0.6035 0.2905 0.4285
24 F 0.6352 0.3026 0.9354
25 F 0.6411 0.0697 0.6919
26 F 0.6440 0.5820 0.1980
27 F 0.6496 0.0584 0.1936
28 F 0.6516 0.8281 0.4279

Main lines, sorted by position (5° ≤ 2θ ≤ 70°):
2θ = 16.76°, I 29
2θ = 17.50°, I 100
2θ = 22.07°, I 16
2θ = 28.73°, I 14
2θ = 33.84°, I 55
2θ = 33.90°, I 29
2θ = 34.01°, I 26
2θ = 41.08°, I 67
2θ = 41.29°, I 31
2θ = 54.26°, I 17
2θ = 59.49°, I 39
2θ = 59.77°, I 27